The following is a simulated X-ray powder pattern of Zr2Si4Ru3. It was derived from a PBE-relaxed structure, using Cu Kα (weighted mean of Kα1 and Kα2).
Peak positions follow from Bragg's law for the DFT cell and can differ from measured ones.

Atomic structure:
abc: 9.9185 9.9185 13.3850
angles: 126.13 126.13 31.54
Atoms (fractional coordinates):
Zr 0.0534 0.7999 0.8516
Zr 0.2001 0.9466 0.6484
Zr 0.2064 0.4606 0.1372
Zr 0.4606 0.2064 0.6372
Zr 0.5394 0.7936 0.3628
Zr 0.7936 0.5394 0.8628
Zr 0.7999 0.0534 0.3516
Zr 0.9466 0.2001 0.1484
Si 0.0727 0.5870 0.9350
Si 0.1115 0.3585 0.3955
Si 0.1199 0.8801 0.2500
Si 0.2462 0.5284 0.3949
Si 0.3585 0.1115 0.8955
Si 0.3699 0.6301 0.7500
Si 0.4130 0.9273 0.5650
Si 0.4716 0.7538 0.1051
Si 0.5284 0.2462 0.8949
Si 0.5870 0.0727 0.4350
Si 0.6301 0.3699 0.2500
Si 0.6415 0.8885 0.1045
Si 0.7538 0.4716 0.6051
Si 0.8801 0.1199 0.7500
Si 0.8885 0.6415 0.6045
Si 0.9273 0.4130 0.0650
Ru 0.0170 0.7358 0.5658
Ru 0.1471 0.3287 0.7205
Ru 0.2642 0.9830 0.9342
Ru 0.3287 0.1471 0.2205
Ru 0.3684 0.5887 0.0851
Ru 0.4113 0.6316 0.4149
Ru 0.5887 0.3684 0.5851
Ru 0.6316 0.4113 0.9149
Ru 0.6713 0.8529 0.7795
Ru 0.7358 0.0170 0.0658
Ru 0.8529 0.6713 0.2795
Ru 0.9830 0.2642 0.4342

Main lines, in order of rising 2θ (5 to 70 degrees two-theta):
| d [Å] | intensity |
| --- | --- |
| 3.176 | 31.1 |
| 2.592 | 42.1 |
| 2.371 | 86.2 |
| 2.343 | 30.6 |
| 2.318 | 39.3 |
| 2.257 | 33.9 |
| 2.212 | 40.3 |
| 2.209 | 36.3 |
| 2.194 | 29.6 |
| 2.141 | 100.0 |

The following is a simulated X-ray powder pattern of K3As11. It was derived from a PBE-relaxed structure, using Cu Kα (weighted mean of Kα1 and Kα2).
Peak positions follow from Bragg's law for the DFT cell and can differ from measured ones.

Atomic structure:
abc: 11.3607 14.7849 11.0481
angles: 90.00 90.00 90.00
Atoms (fractional coordinates):
K 0.0000 0.2155 0.2500
K 0.0000 0.7845 0.7500
K 0.2383 0.4881 0.0875
K 0.2383 0.5119 0.5875
K 0.2617 0.0119 0.5875
K 0.2617 0.9881 0.0875
K 0.5000 0.2845 0.7500
K 0.5000 0.7155 0.2500
K 0.7383 0.0119 0.9125
K 0.7383 0.9881 0.4125
K 0.7617 0.4881 0.4125
K 0.7617 0.5119 0.9125
As 0.0000 0.0229 0.7500
As 0.0000 0.9771 0.2500
As 0.0362 0.3591 0.4939
As 0.0362 0.6409 0.9939
As 0.0715 0.1313 0.8982
As 0.0715 0.8687 0.3982
As 0.0803 0.3897 0.8264
As 0.0803 0.6103 0.3264
As 0.1139 0.2157 0.5650
As 0.1139 0.7843 0.0650
As 0.1844 0.2451 0.7767
As 0.1844 0.7549 0.2767
As 0.3156 0.2549 0.2767
As 0.3156 0.7451 0.7767
As 0.3861 0.2843 0.0650
As 0.3861 0.7157 0.5650
As 0.4197 0.1103 0.3264
As 0.4197 0.8897 0.8264
As 0.4285 0.3687 0.3982
As 0.4285 0.6313 0.8982
As 0.4638 0.1409 0.9939
As 0.4638 0.8591 0.4939
As 0.5000 0.4771 0.2500
As 0.5000 0.5229 0.7500
As 0.5362 0.1409 0.5061
As 0.5362 0.8591 0.0061
As 0.5715 0.3687 0.1018
As 0.5715 0.6313 0.6018
As 0.5803 0.1103 0.1736
As 0.5803 0.8897 0.6736
As 0.6139 0.2843 0.4350
As 0.6139 0.7157 0.9350
As 0.6844 0.2549 0.2233
As 0.6844 0.7451 0.7233
As 0.8156 0.2451 0.7233
As 0.8156 0.7549 0.2233
As 0.8861 0.2157 0.9350
As 0.8861 0.7843 0.4350
As 0.9197 0.3897 0.6736
As 0.9197 0.6103 0.1736
As 0.9285 0.1313 0.6018
As 0.9285 0.8687 0.1018
As 0.9638 0.3591 0.0061
As 0.9638 0.6409 0.5061

Main lines, in order of rising 2θ (5 to 70 degrees two-theta):
| d [Å] | intensity |
| --- | --- |
| 7.392 | 23.3 |
| 6.982 | 100.0 |
| 5.680 | 26.4 |
| 3.528 | 14.3 |
| 3.487 | 38.3 |
| 3.098 | 23.2 |
| 3.025 | 22.5 |
| 2.898 | 17.7 |
| 2.386 | 13.0 |
| 2.356 | 16.7 |

The following is a simulated X-ray powder pattern of Y2O3. It was derived from a PBE-relaxed structure, using Cu Kα (weighted mean of Kα1 and Kα2).
Peak positions follow from Bragg's law for the DFT cell and can differ from measured ones.

Atomic structure:
abc: 9.2033 3.4201 9.3597
angles: 90.00 106.59 90.00
Atoms (fractional coordinates):
Y 0.0485 0.2500 0.1840
Y 0.1659 0.2500 0.5870
Y 0.3197 0.7500 0.9882
Y 0.4391 0.2500 0.3291
Y 0.5609 0.7500 0.6709
Y 0.6803 0.2500 0.0118
Y 0.8341 0.7500 0.4130
Y 0.9515 0.7500 0.8160
O 0.0790 0.7500 0.4039
O 0.1057 0.2500 0.9545
O 0.1900 0.7500 0.7452
O 0.2644 0.7500 0.2219
O 0.4055 0.2500 0.5671
O 0.4638 0.2500 0.1005
O 0.5362 0.7500 0.8995
O 0.5945 0.7500 0.4329
O 0.7356 0.2500 0.7781
O 0.8100 0.2500 0.2548
O 0.8943 0.7500 0.0455
O 0.9210 0.2500 0.5961

Main lines, in order of rising 2θ (5 to 70 degrees two-theta):
| d [Å] | intensity |
| --- | --- |
| 3.113 | 100.0 |
| 3.065 | 89.1 |
| 2.911 | 46.6 |
| 2.774 | 41.3 |
| 2.736 | 44.5 |
| 2.471 | 53.5 |
| 2.230 | 35.7 |
| 1.778 | 37.2 |
| 1.751 | 33.1 |
| 1.710 | 30.4 |